Entry 1:
Computed powder diffractogram of Lu4CuC2S for Cu Kα (λ = 1.5418 Å), from a cell relaxed with GGA-PBE.
Lines closer than 0.1° are merged.

Crystal structure
Lattice parameters (Å, degrees): 3.5842 3.5842 12.8862 90.00 90.00 120.00
Space group P-6m2 (No. 187)
Asymmetric unit:
Lu 0.0000 0.0000 0.1427 x2
Lu 0.3333 0.6667 0.3424 x2
Cu 0.0000 0.0000 0.5000 x1
C 0.6667 0.3333 0.2443 x2
S 0.3333 0.6667 0.0000 x1

Main lines, by angle (10° ≤ 2θ ≤ 90°):
2θ = 27.7°, I = 13.4, (0 0 4)
2θ = 28.8°, I = 29.2, (1 0 0)
2θ = 29.6°, I = 26.1, (1 0 1)
2θ = 35.7°, I = 100.0, (1 0 3)
2θ = 51.0°, I = 28.0, (1 1 0)
2θ = 58.3°, I = 12.0, (1 0 7)
2θ = 59.0°, I = 10.6, (1 1 4)
2θ = 63.8°, I = 18.4, (2 0 3)
2θ = 68.1°, I = 13.9, (1 1 6)
2θ = 85.9°, I = 16.5, (2 1 3)



Entry 2:
Computed powder diffractogram of Cu2Mo8C3N3 for Cu Kα (λ = 1.5418 Å), from a cell relaxed with GGA-PBE.
Lines closer than 0.1° are merged.

Crystal structure
Lattice parameters (Å, degrees): 3.0756 3.0756 22.9308 90.00 90.00 120.00
Space group P-3m1 (No. 164)
Asymmetric unit:
Cu 0.3333 0.6667 0.2505 x2
Mo 0.0000 0.0000 0.1579 x2
Mo 0.0000 0.0000 0.3411 x2
Mo 0.3333 0.6667 0.0581 x2
Mo 0.3333 0.6667 0.4476 x2
C 0.0000 0.0000 0.0000 x1
C 0.3333 0.6667 0.8865 x2
N 0.0000 0.0000 0.5000 x1
N 0.3333 0.6667 0.6097 x2

Main lines, by angle (10° ≤ 2θ ≤ 90°):
2θ = 33.9°, I = 23.4, (0 1 1)
2θ = 34.6°, I = 24.9, (1 0 2)
2θ = 37.2°, I = 42.6, (1 0 4)
2θ = 39.1°, I = 78.5, (0 1 5)
2θ = 39.3°, I = 36.3, (0 0 10)
2θ = 41.3°, I = 100.0, (1 0 6)
2θ = 56.0°, I = 15.9, (0 1 11)
2θ = 60.2°, I = 46.2, (1 1 0)
2θ = 74.3°, I = 32.8, (1 1 10)
2θ = 75.3°, I = 16.9, (1 0 16)



Entry 3:
Computed powder diffractogram of CuMo3CN for Cu Kα (λ = 1.5418 Å), from a cell relaxed with GGA-PBE.
Lines closer than 0.1° are merged.

Crystal structure
Lattice parameters (Å, degrees): 3.0565 3.0565 18.0293 90.00 90.00 120.00
Space group P-3m1 (No. 164)
Asymmetric unit:
Cu 0.0000 0.0000 0.2473 x2
Mo 0.0000 0.0000 0.0000 x1
Mo 0.0000 0.0000 0.5000 x1
Mo 0.3333 0.6667 0.1318 x2
Mo 0.3333 0.6667 0.3653 x2
C 0.3333 0.6667 0.5731 x2
N 0.3333 0.6667 0.9291 x2

Main lines, by angle (10° ≤ 2θ ≤ 90°):
2θ = 34.2°, I = 28.9, (1 0 1)
2θ = 37.1°, I = 10.8, (1 0 3)
2θ = 39.5°, I = 100.0, (0 1 4)
2θ = 40.0°, I = 24.0, (0 0 8)
2θ = 42.4°, I = 30.2, (1 0 5)
2θ = 57.7°, I = 13.5, (0 1 9)
2θ = 60.6°, I = 27.9, (1 1 0)
2θ = 72.3°, I = 12.8, (0 1 12)
2θ = 74.8°, I = 14.2, (2 0 4)
2θ = 75.1°, I = 21.9, (1 1 8)



Entry 4:
Computed powder diffractogram of Ta2Cu3Mo4C3 for Cu Kα (λ = 1.5418 Å), from a cell relaxed with GGA-PBE.
Lines closer than 0.1° are merged.

Crystal structure
Lattice parameters (Å, degrees): 9.2337 5.3342 13.2786 90.00 103.40 90.00
Space group C2/c (No. 15)
Asymmetric unit:
Ta 0.0499 0.0839 0.3975 x8
Cu 0.0000 0.4959 0.2500 x4
Cu 0.2065 0.1236 0.7495 x8
Mo 0.1110 0.4169 0.5842 x8
Mo 0.2218 0.4162 0.9157 x8
C 0.0798 0.2389 0.0002 x8
C 0.2500 0.2500 0.5000 x4

Main lines, by angle (10° ≤ 2θ ≤ 90°):
2θ = 13.7°, I = 6.1, (0 0 2)
2θ = 33.6°, I = 23.1, (3 1 -1)
2θ = 34.3°, I = 11.7, (3 1 -2)
2θ = 39.8°, I = 100.0, (3 1 2)
2θ = 42.0°, I = 16.9, (0 0 6)
2θ = 54.8°, I = 11.8, (3 1 5)
2θ = 60.1°, I = 17.8, (6 0 -2)
2θ = 74.5°, I = 10.8, (6 2 1)
2θ = 75.2°, I = 9.9, (3 1 8)
2θ = 76.0°, I = 12.9, (6 0 4)



Entry 5:
Computed powder diffractogram of Cu3Mo2W4C3 for Cu Kα (λ = 1.5418 Å), from a cell relaxed with GGA-PBE.
Lines closer than 0.1° are merged.

Crystal structure
Lattice parameters (Å, degrees): 9.1862 5.2974 13.3491 90.00 103.30 90.00
Space group C2/c (No. 15)
Asymmetric unit:
Cu 0.0000 0.0086 0.2500 x4
Cu 0.2029 0.3817 0.7512 x8
Mo 0.0487 0.4191 0.4053 x8
W 0.1119 0.0877 0.5861 x8
W 0.2235 0.0810 0.9139 x8
C 0.0827 0.2525 0.0000 x8
C 0.2500 0.2500 0.5000 x4

Main lines, by angle (10° ≤ 2θ ≤ 90°):
2θ = 13.6°, I = 15.5, (0 0 2)
2θ = 19.5°, I = 6.0, (1 1 0)
2θ = 33.8°, I = 22.8, (0 2 0)
2θ = 34.5°, I = 12.2, (0 2 1)
2θ = 39.9°, I = 100.0, (3 1 -4)
2θ = 41.7°, I = 19.3, (0 0 6)
2θ = 54.7°, I = 13.7, (3 1 -7)
2θ = 60.5°, I = 17.9, (6 0 -2)
2θ = 74.9°, I = 22.5, (3 1 -10)
2θ = 76.2°, I = 16.0, (6 0 -8)



Entry 6:
Computed powder diffractogram of Nb4Cu2CN for Cu Kα (λ = 1.5418 Å), from a cell relaxed with GGA-PBE.
Lines closer than 0.1° are merged.

Crystal structure
Lattice parameters (Å, degrees): 3.1464 3.1464 13.1358 90.00 90.00 120.00
Space group P-3m1 (No. 164)
Asymmetric unit:
Nb 0.3333 0.6667 0.0925 x2
Nb 0.3333 0.6667 0.4102 x2
Cu 0.3333 0.6667 0.7481 x2
C 0.0000 0.0000 0.0000 x1
N 0.0000 0.0000 0.5000 x1

Main lines, by angle (10° ≤ 2θ ≤ 90°):
2θ = 13.5°, I = 3.1, (0 0 2)
2θ = 32.9°, I = 22.3, (1 0 0)
2θ = 38.9°, I = 100.0, (1 0 3)
2θ = 41.2°, I = 16.3, (0 0 6)
2θ = 53.7°, I = 14.0, (1 0 6)
2θ = 58.7°, I = 21.0, (1 1 0)
2θ = 72.7°, I = 14.8, (2 0 3)
2θ = 73.6°, I = 12.4, (0 1 9)
2θ = 74.2°, I = 16.4, (1 1 6)
2θ = 83.6°, I = 3.6, (0 2 6)



Entry 7:
Computed powder diffractogram of Nb8Cu2C3N3 for Cu Kα (λ = 1.5418 Å), from a cell relaxed with GGA-PBE.
Lines closer than 0.1° are merged.

Crystal structure
Lattice parameters (Å, degrees): 3.1675 3.1675 23.2994 90.00 90.00 120.00
Space group P-3m1 (No. 164)
Asymmetric unit:
Nb 0.0000 0.0000 0.1581 x2
Nb 0.0000 0.0000 0.3361 x2
Nb 0.3333 0.6667 0.5574 x2
Nb 0.3333 0.6667 0.9413 x2
Cu 0.3333 0.6667 0.7535 x2
C 0.0000 0.0000 0.5000 x1
C 0.3333 0.6667 0.3862 x2
N 0.0000 0.0000 0.0000 x1
N 0.3333 0.6667 0.1123 x2

Main lines, by angle (10° ≤ 2θ ≤ 90°):
2θ = 32.9°, I = 23.0, (1 0 1)
2θ = 33.6°, I = 23.5, (0 1 2)
2θ = 36.2°, I = 31.1, (1 0 4)
2θ = 38.1°, I = 71.9, (0 1 5)
2θ = 38.6°, I = 27.3, (0 0 10)
2θ = 40.3°, I = 100.0, (1 0 6)
2θ = 54.8°, I = 19.3, (1 0 11)
2θ = 58.2°, I = 57.4, (1 1 0)
2θ = 72.1°, I = 25.4, (1 1 10)
2θ = 73.2°, I = 18.4, (0 2 6)



Entry 8:
Computed powder diffractogram of CuC2S2N2 for Cu Kα (λ = 1.5418 Å), from a cell relaxed with GGA-PBE.
Lines closer than 0.1° are merged.

Crystal structure
Lattice parameters (Å, degrees): 3.9035 5.5221 5.9957 79.55 84.77 71.08
Space group P-1 (No. 2)
Asymmetric unit:
Cu 0.0000 0.0000 0.0000 x1
C 0.2232 0.5133 0.7894 x2
S 0.3193 0.2281 0.7183 x2
N 0.1637 0.7236 0.8336 x2

Main lines, by angle (10° ≤ 2θ ≤ 90°):
2θ = 15.0°, I = 74.9, (0 0 1)
2θ = 17.2°, I = 21.1, (0 1 0)
2θ = 21.0°, I = 57.4, (0 1 1)
2θ = 28.1°, I = 100.0, (1 0 1)
2θ = 31.1°, I = 48.4, (1 1 -1)
2θ = 35.7°, I = 20.9, (0 2 1)
2θ = 37.5°, I = 21.8, (0 1 -2)
2θ = 42.5°, I = 16.1, (1 1 -2)
2θ = 42.8°, I = 20.4, (0 2 2)
2θ = 46.8°, I = 16.7, (2 1 0)



Entry 9:
Computed powder diffractogram of Sc3CuCN for Cu Kα (λ = 1.5418 Å), from a cell relaxed with GGA-PBE.
Lines closer than 0.1° are merged.

Crystal structure
Lattice parameters (Å, degrees): 3.2882 3.2882 18.4361 90.00 90.00 120.00
Space group P-3m1 (No. 164)
Asymmetric unit:
Sc 0.0000 0.0000 0.0000 x1
Sc 0.0000 0.0000 0.5000 x1
Sc 0.3333 0.6667 0.1335 x2
Sc 0.3333 0.6667 0.3625 x2
Cu 0.0000 0.0000 0.2433 x2
C 0.3333 0.6667 0.5784 x2
N 0.3333 0.6667 0.9278 x2

Main lines, by angle (10° ≤ 2θ ≤ 90°):
2θ = 31.4°, I = 10.1, (1 0 0)
2θ = 31.8°, I = 14.3, (0 1 1)
2θ = 37.1°, I = 100.0, (0 1 4)
2θ = 39.1°, I = 15.8, (0 0 8)
2θ = 40.0°, I = 22.6, (1 0 5)
2θ = 51.0°, I = 9.7, (1 0 8)
2θ = 55.2°, I = 9.7, (0 1 9)
2θ = 55.9°, I = 26.9, (1 1 0)
2θ = 69.0°, I = 13.6, (2 0 4)
2θ = 70.3°, I = 14.9, (1 1 8)



Entry 10:
Computed powder diffractogram of Sr6CuC2N7 for Cu Kα (λ = 1.5418 Å), from a cell relaxed with GGA-PBE.
Lines closer than 0.1° are merged.

Crystal structure
Lattice parameters (Å, degrees): 3.8305 9.8983 14.6179 90.00 92.21 90.00
Space group P2_1/c (No. 14)
Asymmetric unit:
Sr 0.0113 0.0712 0.1098 x4
Sr 0.4666 0.2455 0.9451 x4
Sr 0.4717 0.1035 0.6671 x4
Cu 0.0000 0.0000 0.5000 x2
C 0.1695 0.7256 0.2158 x4
N 0.0144 0.6694 0.6916 x4
N 0.0210 0.6719 0.9436 x4
N 0.3544 0.6288 0.2412 x4
N 0.5000 0.0000 0.0000 x2

Main lines, by angle (10° ≤ 2θ ≤ 90°):
2θ = 12.1°, I = 27.2, (0 0 2)
2θ = 29.5°, I = 35.0, (1 2 0)
2θ = 29.7°, I = 100.0, (0 3 2)
2θ = 30.5°, I = 43.5, (1 1 -3)
2θ = 31.6°, I = 90.2, (1 1 3)
2θ = 31.9°, I = 33.5, (0 1 5)
2θ = 34.5°, I = 56.6, (1 1 -4)
2θ = 35.8°, I = 31.0, (1 1 4)
2θ = 38.4°, I = 28.0, (0 4 2)
2θ = 47.5°, I = 27.4, (2 0 0)



Entry 11:
Computed powder diffractogram of Ta8Cu2C3N3 for Cu Kα (λ = 1.5418 Å), from a cell relaxed with GGA-PBE.
Lines closer than 0.1° are merged.

Crystal structure
Lattice parameters (Å, degrees): 3.1418 3.1418 23.2736 90.00 90.00 120.00
Space group P-3m1 (No. 164)
Asymmetric unit:
Ta 0.0000 0.0000 0.1588 x2
Ta 0.0000 0.0000 0.3362 x2
Ta 0.3333 0.6667 0.5572 x2
Ta 0.3333 0.6667 0.9412 x2
Cu 0.3333 0.6667 0.7535 x2
C 0.0000 0.0000 0.5000 x1
C 0.3333 0.6667 0.3872 x2
N 0.0000 0.0000 0.0000 x1
N 0.3333 0.6667 0.1112 x2

Main lines, by angle (10° ≤ 2θ ≤ 90°):
2θ = 33.8°, I = 38.8, (0 1 2)
2θ = 34.9°, I = 22.9, (1 0 3)
2θ = 36.5°, I = 32.9, (1 0 4)
2θ = 38.3°, I = 62.2, (0 1 5)
2θ = 38.7°, I = 28.7, (0 0 10)
2θ = 40.5°, I = 100.0, (1 0 6)
2θ = 58.4°, I = 18.2, (0 1 12)
2θ = 58.8°, I = 43.9, (1 1 0)
2θ = 72.6°, I = 27.9, (1 1 10)
2θ = 73.8°, I = 33.2, (0 2 6)



Entry 12:
Computed powder diffractogram of Y8Cu2C3N3 for Cu Kα (λ = 1.5418 Å), from a cell relaxed with GGA-PBE.
Lines closer than 0.1° are merged.

Crystal structure
Lattice parameters (Å, degrees): 3.5425 3.5425 25.4574 90.00 90.00 120.00
Space group P-3m1 (No. 164)
Asymmetric unit:
Y 0.0000 0.0000 0.1614 x2
Y 0.0000 0.0000 0.3307 x2
Y 0.3333 0.6667 0.5579 x2
Y 0.3333 0.6667 0.9464 x2
Cu 0.3333 0.6667 0.7568 x2
C 0.0000 0.0000 0.5000 x1
C 0.3333 0.6667 0.3778 x2
N 0.0000 0.0000 0.0000 x1
N 0.3333 0.6667 0.1128 x2

Main lines, by angle (10° ≤ 2θ ≤ 90°):
2θ = 29.3°, I = 22.9, (1 0 1)
2θ = 30.0°, I = 27.4, (1 0 2)
2θ = 32.4°, I = 26.3, (1 0 4)
2θ = 34.1°, I = 79.0, (0 1 5)
2θ = 35.3°, I = 22.4, (0 0 10)
2θ = 36.1°, I = 100.0, (1 0 6)
2θ = 51.6°, I = 49.4, (1 1 0)
2θ = 52.4°, I = 18.7, (0 1 12)
2θ = 64.0°, I = 23.0, (1 1 10)
2θ = 64.6°, I = 16.8, (0 2 6)